Diffraction record for Th2P3NO12. The powder X-ray diffraction pattern is calculated, not measured: it uses a PBE-relaxed structure and Cu Kα.
No peak broadening, texture or thermal motion is included.

Peak list (12 most intense, 2θ from 10° to 80°, in order of falling intensity)
d [Å]	Position (°2θ)	I/Imax
6.460	13.71	100
3.078	29.01	84
3.284	27.16	52
8.603	10.28	47
2.797	32.00	47
4.429	20.05	45
5.244	16.91	43
1.852	49.19	35
3.242	27.51	35
4.301	20.65	34
2.155	41.92	33
4.890	18.14	32

Crystal structure
Cell: 9.4311 9.4311 8.2821 Å, 100.21 100.21 43.37°
Element x y z (fractional)
Th1 0.0539 0.2463 0.0347
Th2 0.2463 0.0539 0.5347
Th3 0.7537 0.9461 0.4653
Th4 0.9461 0.7537 0.9653
P1 0.0854 0.9146 0.2500
P2 0.2150 0.4071 0.3138
P3 0.4071 0.2150 0.8138
P4 0.5929 0.7850 0.1862
P5 0.7850 0.5929 0.6862
P6 0.9146 0.0854 0.7500
N1 0.4177 0.5823 0.7500
N2 0.5823 0.4177 0.2500
O1 0.0353 0.1125 0.2457
O2 0.0849 0.6055 0.4271
O3 0.1125 0.0353 0.7457
O4 0.1384 0.4581 0.1286
O5 0.1767 0.2750 0.3317
O6 0.1769 0.7730 0.0899
O7 0.2270 0.8231 0.4101
O8 0.2704 0.4489 0.8402
O9 0.2750 0.1767 0.8317
O10 0.3945 0.9151 0.0729
O11 0.4489 0.2704 0.3402
O12 0.4581 0.1384 0.6286
O13 0.5419 0.8616 0.3714
O14 0.5511 0.7296 0.6598
O15 0.6055 0.0849 0.9271
O16 0.7250 0.8233 0.1683
O17 0.7296 0.5511 0.1598
O18 0.7730 0.1769 0.5899
O19 0.8231 0.2270 0.9101
O20 0.8233 0.7250 0.6683
O21 0.8616 0.5419 0.8714
O22 0.8875 0.9647 0.2543
O23 0.9151 0.3945 0.5729
O24 0.9647 0.8875 0.7543

***

Diffraction record for PuSe. The powder X-ray diffraction pattern is calculated, not measured: it uses a PBE-relaxed structure and Cu Kα.
No peak broadening, texture or thermal motion is included.

Peak list (9 most intense, 2θ from 10° to 80°, in order of falling intensity)
d [Å]	Position (°2θ)	I/Imax
2.942	30.39	100
2.080	43.51	76
3.397	26.24	45
1.315	71.75	35
1.698	53.99	27
1.201	79.88	27
1.774	51.52	24
1.471	63.22	13
1.350	69.67	10

Crystal structure
Cell: 4.1600 4.1600 4.1600 Å, 60.00 60.00 60.00°
Element x y z (fractional)
Pu1 0.0000 0.0000 0.0000
Se1 0.5000 0.5000 0.5000

***

Diffraction record for Li3Bi5P6O24. The powder X-ray diffraction pattern is calculated, not measured: it uses a PBE-relaxed structure and Cu Kα.
No peak broadening, texture or thermal motion is included.

Peak list (12 most intense, 2θ from 10° to 80°, in order of falling intensity)
d [Å]	Position (°2θ)	I/Imax
3.241	27.52	100
7.187	12.32	79
3.206	27.82	63
4.227	21.02	55
3.219	27.71	53
4.117	21.59	52
5.086	17.44	47
2.721	32.92	45
2.726	32.86	44
4.182	21.24	40
7.281	12.16	36
2.750	32.55	32

Crystal structure
Cell: 8.7477 8.8456 8.8535 Å, 108.70 109.75 109.27°
Element x y z (fractional)
Li1 0.0000 0.0000 0.0000
Li2 0.1955 0.7575 0.9438
Li3 0.4915 0.3065 0.7171
Bi1 0.0085 0.0387 0.5783
Bi2 0.3287 0.5171 0.2147
Bi3 0.4968 0.8666 0.7381
Bi4 0.6389 0.1876 0.3886
Bi5 0.8379 0.5274 0.2128
P1 0.1199 0.4052 0.4785
P2 0.2433 0.9025 0.3459
P3 0.3691 0.1541 0.9722
P4 0.6161 0.7789 0.1066
P5 0.7478 0.6490 0.5992
P6 0.8635 0.2703 0.8519
O1 0.0658 0.4340 0.9814
O2 0.0829 0.8742 0.3977
O3 0.1499 0.3780 0.3115
O4 0.1520 0.2683 0.5418
O5 0.1712 0.8748 0.1531
O6 0.2366 0.1851 0.0418
O7 0.2503 0.6014 0.6435
O8 0.2951 0.7543 0.3717
O9 0.3361 0.1877 0.8054
O10 0.3496 0.9621 0.9207
O11 0.4161 0.7155 0.0737
O12 0.4182 0.0930 0.4907
O13 0.5739 0.2960 0.1402
O14 0.5817 0.6919 0.5686
O15 0.6538 0.6148 0.0760
O16 0.6547 0.8491 0.9764
O17 0.6598 0.4443 0.5549
O18 0.7299 0.3381 0.8840
O19 0.7526 0.9446 0.3076
O20 0.7978 0.6726 0.4498
O21 0.8314 0.2133 0.6501
O22 0.8345 0.1007 0.8773
O23 0.9142 0.3685 0.4102
O24 0.9175 0.7759 0.7876

***

Diffraction record for Sb2P3H3O9. The powder X-ray diffraction pattern is calculated, not measured: it uses a PBE-relaxed structure and Cu Kα.
No peak broadening, texture or thermal motion is included.

Peak list (12 most intense, 2θ from 10° to 80°, in order of falling intensity)
d [Å]	Position (°2θ)	I/Imax
3.598	24.74	100
8.603	10.28	77
3.488	25.54	68
3.239	27.54	54
4.802	18.48	30
6.159	14.38	30
5.260	16.85	28
2.717	32.96	28
2.445	36.76	23
4.163	21.34	20
2.568	34.93	17
3.097	28.83	15

Crystal structure
Cell: 7.3751 8.5312 9.3777 Å, 66.62 79.70 67.75°
Element x y z (fractional)
Sb1 0.9998 0.0118 0.2651
Sb2 0.0002 0.9882 0.7349
Sb3 0.3209 0.3447 0.4164
Sb4 0.6791 0.6553 0.5836
P1 0.2267 0.7168 0.0652
P2 0.2369 0.6093 0.6391
P3 0.4576 0.0004 0.2624
P4 0.5424 0.9996 0.7376
P5 0.7631 0.3907 0.3609
P6 0.7733 0.2832 0.9348
H1 0.1624 0.5094 0.7797
H2 0.4261 0.6542 0.0215
H3 0.4719 0.9965 0.8883
H4 0.5281 0.0035 0.1117
H5 0.5739 0.3458 0.9785
H6 0.8376 0.4906 0.2203
O1 0.1122 0.7586 0.9211
O2 0.1237 0.8138 0.5984
O3 0.1766 0.5635 0.2012
O4 0.1915 0.8902 0.0953
O5 0.2039 0.5575 0.5085
O6 0.2289 0.0927 0.2533
O7 0.4555 0.5554 0.6737
O8 0.4607 0.8849 0.6945
O9 0.4834 0.2013 0.6316
O10 0.5166 0.7987 0.3684
O11 0.5393 0.1151 0.3055
O12 0.5445 0.4446 0.3263
O13 0.7711 0.9073 0.7467
O14 0.7961 0.4425 0.4915
O15 0.8085 0.1098 0.9047
O16 0.8234 0.4365 0.7988
O17 0.8763 0.1862 0.4016
O18 0.8878 0.2414 0.0789

***

Diffraction record for CsH3O2. The powder X-ray diffraction pattern is calculated, not measured: it uses a PBE-relaxed structure and Cu Kα.
No peak broadening, texture or thermal motion is included.

Peak list (12 most intense, 2θ from 10° to 80°, in order of falling intensity)
d [Å]	Position (°2θ)	I/Imax
2.924	30.58	100
3.894	22.84	59
2.994	29.84	56
4.065	21.86	31
2.313	38.94	31
2.216	40.72	28
4.427	20.06	25
1.782	51.26	22
1.599	57.65	18
1.946	46.69	18
1.924	47.24	18
2.050	44.18	16

Crystal structure
Cell: 4.4266 4.6309 4.6309 Å, 57.24 90.00 90.00°
Element x y z (fractional)
Cs1 0.0000 0.0000 0.0000
H1 0.5000 0.0720 0.4567
H2 0.5000 0.4567 0.0720
H3 0.5000 0.5591 0.5591
O1 0.5000 0.3370 0.3370
O2 0.5000 0.6805 0.6805

***

Diffraction record for HfMoC2. The powder X-ray diffraction pattern is calculated, not measured: it uses a PBE-relaxed structure and Cu Kα.
No peak broadening, texture or thermal motion is included.

Peak list (12 most intense, 2θ from 10° to 80°, in order of falling intensity)
d [Å]	Position (°2θ)	I/Imax
2.600	34.49	100
2.257	39.95	45
1.591	57.98	29
1.360	69.06	28
2.243	40.21	22
1.300	72.73	15
1.596	57.78	15
1.354	69.42	14
4.485	19.79	9
3.191	27.96	8
2.016	44.97	5
1.835	49.69	4

Crystal structure
Cell: 3.1914 3.1914 4.4852 Å, 90.00 90.00 90.00°
Element x y z (fractional)
Hf1 0.0000 0.0000 0.0000
Mo1 0.5000 0.5000 0.5000
C1 0.0000 0.0000 0.5000
C2 0.5000 0.5000 0.0000

***

Diffraction record for AcNb3. The powder X-ray diffraction pattern is calculated, not measured: it uses a PBE-relaxed structure and Cu Kα.
No peak broadening, texture or thermal motion is included.

Peak list (11 most intense, 2θ from 10° to 80°, in order of falling intensity)
d [Å]	Position (°2θ)	I/Imax
2.497	35.97	100
1.442	64.66	36
1.765	51.78	18
4.077	21.80	13
1.248	76.27	11
2.129	42.45	8
3.531	25.22	7
1.620	56.83	4
1.579	58.45	3
1.359	69.12	3
2.039	44.44	2

Crystal structure
Cell: 4.9935 4.9935 4.9935 Å, 60.00 60.00 60.00°
Element x y z (fractional)
Ac1 0.0000 0.0000 0.0000
Nb1 0.2500 0.2500 0.2500
Nb2 0.5000 0.5000 0.5000
Nb3 0.7500 0.7500 0.7500